1.
Calculated XRD peak list of Ir for Cu Ka, from a GGA-PBE-relaxed structure.
Peak positions follow from Bragg's law for the DFT cell and can differ from measured ones.

Most intense lines, 10 to 90 degrees two-theta, by angle:
| Position (°2θ) | I_rel |
| --- | --- |
| 40.92 | 100 |
| 59.25 | 17 |
| 74.52 | 35 |
| 88.71 | 12 |

Crystal structure
```
1
Lattice="-1.5595 1.5595 1.5595 1.5595 -1.5595 1.5595 1.5595 1.5595 -1.5595" Properties=species:S:1:pos:R:3 pbc="T T T"
Ir 0.0000 0.0000 0.0000
```

---

2.
Calculated XRD peak list of CuBi for Cu Ka, from a GGA-PBE-relaxed structure.
Peak positions follow from Bragg's law for the DFT cell and can differ from measured ones.

Most intense lines, 10 to 90 degrees two-theta, by angle:
| Position (°2θ) | I_rel |
| --- | --- |
| 29.04 | 100 |
| 40.72 | 49 |
| 42.34 | 34 |
| 50.79 | 22 |
| 54.71 | 11 |
| 59.07 | 14 |
| 60.19 | 12 |
| 67.04 | 20 |
| 75.22 | 12 |
| 87.86 | 11 |

Crystal structure
```
4
Lattice="4.4319 0.0000 0.0000 -2.2160 3.8382 0.0000 0.0000 0.0000 5.1372" Properties=species:S:1:pos:R:3 pbc="T T T"
Cu 0.0000 0.0000 0.0000
Cu 0.0000 0.0000 2.5686
Bi 0.0000 2.5588 1.2843
Bi 2.2160 1.2794 3.8529
```

---

3.
Calculated XRD peak list of Zr2NiS4 for Cu Ka, from a GGA-PBE-relaxed structure.
Peak positions follow from Bragg's law for the DFT cell and can differ from measured ones.

Most intense lines, 10 to 90 degrees two-theta, by angle:
| Position (°2θ) | I_rel |
| --- | --- |
| 15.11 | 74 |
| 15.93 | 25 |
| 31.97 | 100 |
| 32.16 | 49 |
| 41.87 | 66 |
| 42.02 | 33 |
| 49.38 | 20 |
| 49.83 | 39 |
| 55.09 | 16 |
| 66.80 | 15 |

Crystal structure
```
7
Lattice="6.6551 -1.8457 0.0000 6.6551 1.8457 0.0000 -2.9897 0.0000 5.5689" Properties=species:S:1:pos:R:3 pbc="T T T"
Zr 0.0000 0.0000 0.0000
Zr 5.1663 0.0000 2.8592
Ni 2.3561 0.0000 3.7110
S 0.3212 0.0000 2.6297
S 4.8406 0.0000 0.3040
S 5.4755 0.0000 5.3921
S 9.9830 0.0000 3.0051
```

---

4.
Calculated XRD peak list of NaTi2P3O12 for Cu Ka, from a GGA-PBE-relaxed structure.
Peak positions follow from Bragg's law for the DFT cell and can differ from measured ones.

Most intense lines, 10 to 90 degrees two-theta, by angle:
| Position (°2θ) | I_rel |
| --- | --- |
| 14.34 | 14 |
| 20.04 | 22 |
| 20.62 | 34 |
| 23.95 | 100 |
| 28.91 | 23 |
| 32.02 | 59 |
| 36.11 | 16 |
| 46.07 | 14 |
| 49.03 | 16 |
| 56.51 | 13 |

Crystal structure
```
36
Lattice="4.3084 2.4874 7.3405 -4.3084 2.4874 7.3405 0.0000 -4.9749 7.3405" Properties=species:S:1:pos:R:3 pbc="T T T"
Na 0.0000 0.0000 0.0000
Na 0.0000 0.0000 11.0108
Ti 0.0000 0.0000 3.1841
Ti 0.0000 0.0000 7.8266
Ti 0.0000 0.0000 14.1949
Ti 0.0000 0.0000 18.8374
P -3.0710 -0.3442 9.1756
P -1.2374 -2.8316 12.8459
P 1.8336 -2.4874 9.1756
P -1.8336 2.4874 12.8459
P 1.2374 2.8316 9.1756
P 3.0710 0.3442 12.8459
O -3.3757 -1.1822 10.4368
O -3.7167 1.0532 9.2731
O -2.7705 -2.6921 12.7485
O -0.6640 -1.4604 6.7665
O -0.6640 -3.5145 11.5847
O -1.5379 -0.2047 9.0782
O 0.9462 -3.7454 9.2731
O -0.9327 1.3052 6.7665
O -2.7116 2.3323 11.5847
O -0.5917 -1.4342 12.9433
O 0.9462 -1.2295 9.0782
O -1.5967 -0.1551 15.2550
O 1.5967 0.1551 6.7666
O -0.9462 1.2295 12.9433
O 0.5917 1.4342 9.0782
O 2.7117 -2.3323 10.4368
O 0.9327 -1.3053 15.2550
O -0.9462 3.7454 12.7484
O 1.5379 0.2047 12.9433
O 0.6640 3.5145 10.4368
O 0.6640 1.4604 15.2550
O 2.7705 2.6921 9.2731
O 3.7167 -1.0532 12.7485
O 3.3757 1.1822 11.5847
```

---

5.
Calculated XRD peak list of LaMn2Ge2 for Cu Ka, from a GGA-PBE-relaxed structure.
Peak positions follow from Bragg's law for the DFT cell and can differ from measured ones.

Most intense lines, 10 to 90 degrees two-theta, by angle:
| Position (°2θ) | I_rel |
| --- | --- |
| 31.18 | 28 |
| 32.71 | 100 |
| 35.20 | 82 |
| 44.67 | 54 |
| 46.53 | 35 |
| 56.46 | 41 |
| 59.32 | 19 |
| 65.02 | 17 |
| 66.48 | 23 |
| 84.42 | 16 |

Crystal structure
```
5
Lattice="-2.0285 2.0285 5.5656 2.0285 -2.0285 5.5656 2.0285 2.0285 -5.5656" Properties=species:S:1:pos:R:3 pbc="T T T"
La 0.0000 0.0000 0.0000
Mn 2.0285 0.0000 2.7828
Mn 0.0000 2.0285 2.7828
Ge 0.0000 0.0000 4.1559
Ge 0.0000 0.0000 6.9753
```